[1]
Simulated X-ray diffraction stick pattern of Cu2WO4 for Cu Kα, 1.54184 Å, from a DFT-relaxed cell (PBE+U, the Materials Project).
Neutral-atom scattering factors, no anomalous dispersion.

Structure:
```
Cu2WO4
1.0
7.357 0.000 0.000
-0.608 7.523 0.000
-1.782 -1.246 7.698
Cu W O
8 4 16
Direct
0.013 0.177 0.361 Cu
0.120 0.400 0.127 Cu
0.140 0.149 0.705 Cu
0.222 0.953 0.458 Cu
0.778 0.047 0.542 Cu
0.860 0.851 0.295 Cu
0.880 0.600 0.873 Cu
0.987 0.823 0.639 Cu
0.259 0.843 0.992 W
0.492 0.244 0.268 W
0.508 0.756 0.732 W
0.741 0.157 0.008 W
0.107 0.672 0.054 O
0.113 0.988 0.862 O
0.183 0.288 0.552 O
0.262 0.687 0.765 O
0.325 0.012 0.209 O
0.362 0.436 0.273 O
0.411 0.795 0.514 O
0.481 0.177 0.999 O
0.519 0.823 0.001 O
0.589 0.205 0.486 O
0.638 0.564 0.727 O
0.675 0.988 0.791 O
0.738 0.313 0.235 O
0.817 0.712 0.448 O
0.887 0.012 0.138 O
0.893 0.328 0.946 O
```

The 10 most intense peaks (10 to 90 degrees two-theta), in order of falling intensity:
d (Å)  intensity
7.427  100
4.327  80
5.831  58
4.963  58
3.272  51
3.246  42
3.148  41
2.569  41
3.694  36
2.618  34

[2]
Simulated X-ray diffraction stick pattern of Cu2WO4 for Cu Kα, 1.54184 Å, from a DFT-relaxed cell (PBE+U, the Materials Project).
Neutral-atom scattering factors, no anomalous dispersion.

Structure:
```
Cu2WO4
1.0
7.520 0.000 0.000
-0.598 7.548 0.000
-0.963 -1.153 8.002
Cu W O
8 4 16
Direct
0.109 0.127 0.196 Cu
0.137 0.399 0.599 Cu
0.161 0.117 0.871 Cu
0.188 0.792 0.001 Cu
0.812 0.208 0.999 Cu
0.839 0.883 0.129 Cu
0.863 0.601 0.401 Cu
0.891 0.873 0.804 Cu
0.242 0.840 0.489 W
0.468 0.245 0.738 W
0.532 0.755 0.262 W
0.758 0.160 0.511 W
0.060 0.262 0.029 O
0.075 0.681 0.556 O
0.136 0.002 0.375 O
0.273 0.685 0.286 O
0.302 0.021 0.702 O
0.356 0.450 0.738 O
0.437 0.779 0.050 O
0.499 0.176 0.493 O
0.501 0.824 0.507 O
0.563 0.221 0.950 O
0.644 0.550 0.262 O
0.698 0.979 0.298 O
0.727 0.315 0.714 O
0.864 0.998 0.625 O
0.925 0.319 0.444 O
0.940 0.738 0.971 O
```

The 10 most intense peaks (10 to 90 degrees two-theta), in order of falling intensity:
d (Å)  intensity
4.575  100
7.471  82
5.897  71
3.734  71
5.111  66
3.231  57
2.722  52
8.002  52
3.945  43
2.165  39

[3]
Simulated X-ray diffraction stick pattern of Cu2WO4 for Cu Kα, 1.54184 Å, from a DFT-relaxed cell (PBE+U, the Materials Project).
Neutral-atom scattering factors, no anomalous dispersion.

Structure:
```
Cu2WO4
1.0
5.946 0.000 0.000
-0.456 7.997 0.000
-0.881 -2.918 7.721
Cu W O
8 4 16
Direct
0.000 0.000 0.000 Cu
0.010 0.871 0.289 Cu
0.059 0.341 0.342 Cu
0.622 0.951 0.559 Cu
0.698 0.387 0.597 Cu
0.717 0.263 0.887 Cu
0.850 0.639 0.455 Cu
0.859 0.633 0.947 Cu
0.192 0.274 0.714 W
0.350 0.709 0.770 W
0.367 0.556 0.123 W
0.524 0.992 0.179 W
0.105 0.707 0.620 O
0.137 0.447 0.188 O
0.148 0.554 0.892 O
0.289 0.926 0.959 O
0.297 0.804 0.230 O
0.329 0.085 0.599 O
0.393 0.181 0.297 O
0.414 0.459 0.657 O
0.432 0.340 0.933 O
0.568 0.708 0.999 O
0.580 0.815 0.702 O
0.607 0.563 0.279 O
0.736 0.961 0.353 O
0.738 0.090 0.082 O
0.976 0.300 0.539 O
0.980 0.172 0.809 O
```

The 10 most intense peaks (10 to 90 degrees two-theta), in order of falling intensity:
d (Å)  intensity
2.939  100
3.046  67
2.978  67
2.836  60
2.484  53
6.681  48
2.396  47
2.880  41
2.347  40
2.810  39

[4]
Simulated X-ray diffraction stick pattern of Cu2WO4 for Cu Kα, 1.54184 Å, from a DFT-relaxed cell (PBE+U, the Materials Project).
Neutral-atom scattering factors, no anomalous dispersion.

Structure:
```
Cu2WO4
1.0
5.770 0.000 0.000
-1.256 8.366 0.000
-0.260 -3.749 8.357
Cu W O
8 4 16
Direct
0.007 0.479 0.349 Cu
0.149 0.834 0.655 Cu
0.170 0.889 0.342 Cu
0.479 0.763 0.875 Cu
0.521 0.237 0.125 Cu
0.830 0.111 0.658 Cu
0.851 0.166 0.345 Cu
0.993 0.521 0.651 Cu
0.220 0.408 0.914 W
0.424 0.303 0.506 W
0.576 0.697 0.494 W
0.780 0.592 0.086 W
0.049 0.453 0.101 O
0.103 0.178 0.810 O
0.132 0.145 0.431 O
0.269 0.439 0.711 O
0.317 0.480 0.423 O
0.419 0.797 0.389 O
0.459 0.820 0.701 O
0.490 0.644 0.007 O
0.510 0.356 0.993 O
0.541 0.180 0.299 O
0.581 0.203 0.611 O
0.683 0.520 0.577 O
0.731 0.561 0.289 O
0.868 0.855 0.569 O
0.897 0.822 0.190 O
0.951 0.547 0.899 O
```

The 10 most intense peaks (10 to 90 degrees two-theta), in order of falling intensity:
d (Å)  intensity
7.633  100
2.939  85
3.534  61
2.725  55
2.950  46
4.178  45
2.409  35
2.880  33
8.357  33
2.661  32

[5]
Simulated X-ray diffraction stick pattern of Cu2WO4 for Cu Kα, 1.54184 Å, from a DFT-relaxed cell (PBE+U, the Materials Project).
Neutral-atom scattering factors, no anomalous dispersion.

Structure:
```
Cu2WO4
1.0
5.934 0.000 0.000
-0.313 8.107 0.000
-0.758 -2.839 7.760
Cu W O
8 4 16
Direct
0.000 0.000 0.000 Cu
0.000 0.000 0.500 Cu
0.127 0.359 0.052 Cu
0.144 0.238 0.337 Cu
0.224 0.709 0.403 Cu
0.776 0.291 0.597 Cu
0.856 0.762 0.663 Cu
0.873 0.641 0.948 Cu
0.349 0.645 0.775 W
0.487 0.073 0.822 W
0.513 0.927 0.178 W
0.651 0.355 0.225 W
0.132 0.669 0.600 O
0.141 0.549 0.876 O
0.240 0.067 0.673 O
0.289 0.823 0.251 O
0.294 0.924 0.950 O
0.417 0.286 0.009 O
0.436 0.171 0.287 O
0.493 0.461 0.660 O
0.507 0.539 0.340 O
0.564 0.829 0.713 O
0.583 0.714 0.991 O
0.706 0.076 0.050 O
0.711 0.177 0.749 O
0.760 0.933 0.327 O
0.859 0.451 0.124 O
0.868 0.331 0.400 O
```

The 10 most intense peaks (10 to 90 degrees two-theta), in order of falling intensity:
d (Å)  intensity
3.088  100
2.954  98
2.817  96
3.031  68
2.353  55
2.861  53
6.708  51
2.412  45
2.472  43
1.718  42

[6]
Simulated X-ray diffraction stick pattern of Cu3W4O12 for Cu Kα, 1.54184 Å, from a DFT-relaxed cell (PBE+U, the Materials Project).
Neutral-atom scattering factors, no anomalous dispersion.

Structure:
```
Cu3W4O12
1.0
-3.807 3.807 3.807
3.807 -3.807 3.807
3.807 3.807 -3.807
Cu W O
3 4 12
Direct
0.000 0.500 0.500 Cu
0.500 0.000 0.500 Cu
0.500 0.500 0.000 Cu
0.000 0.000 0.500 W
0.000 0.500 0.000 W
0.500 0.000 0.000 W
0.500 0.500 0.500 W
0.127 0.309 0.818 O
0.182 0.491 0.309 O
0.182 0.873 0.691 O
0.309 0.182 0.491 O
0.309 0.818 0.127 O
0.491 0.309 0.182 O
0.509 0.691 0.818 O
0.691 0.182 0.873 O
0.691 0.818 0.509 O
0.818 0.127 0.309 O
0.818 0.509 0.691 O
0.873 0.691 0.182 O
```

The 10 most intense peaks (10 to 90 degrees two-theta), in order of falling intensity:
d (Å)  intensity
2.692  100
3.807  47
1.554  46
1.903  23
1.702  22
1.204  18
1.346  13
2.198  9
1.269  9
1.148  6

[7]
Simulated X-ray diffraction stick pattern of Cu2WO4 for Cu Kα, 1.54184 Å, from a DFT-relaxed cell (PBE+U, the Materials Project).
Neutral-atom scattering factors, no anomalous dispersion.

Structure:
```
Cu2WO4
1.0
7.144 0.000 0.000
-3.335 7.571 0.000
-1.071 -3.812 7.529
Cu W O
8 4 16
Direct
0.092 0.190 0.113 Cu
0.133 0.090 0.799 Cu
0.244 0.501 0.466 Cu
0.312 0.038 0.079 Cu
0.688 0.962 0.921 Cu
0.756 0.499 0.534 Cu
0.867 0.910 0.201 Cu
0.908 0.810 0.887 Cu
0.109 0.465 0.825 W
0.434 0.539 0.204 W
0.566 0.461 0.796 W
0.891 0.535 0.175 W
0.023 0.803 0.287 O
0.043 0.561 0.679 O
0.103 0.457 0.073 O
0.296 0.963 0.829 O
0.324 0.455 0.666 O
0.412 0.593 0.982 O
0.415 0.704 0.396 O
0.495 0.979 0.193 O
0.505 0.021 0.807 O
0.585 0.296 0.604 O
0.588 0.407 0.018 O
0.676 0.545 0.334 O
0.704 0.037 0.171 O
0.897 0.543 0.927 O
0.957 0.439 0.321 O
0.977 0.197 0.713 O
```

The 10 most intense peaks (10 to 90 degrees two-theta), in order of falling intensity:
d (Å)  intensity
6.755  100
7.529  64
3.377  57
2.884  27
3.036  25
2.315  23
4.185  19
2.801  19
3.061  19
2.592  18